Structure and calculated PXRD pattern of BaNa2NiF (a DFT-relaxed cell (GGA+U, Alexandria); copper Kα).
Intensities are scaled so that the largest is 100.

The 10 most intense peaks (10° ≤ 2θ ≤ 90°), by angle:
- (1 0 1), d = 3.845 Å, 23.1°, I = 100
- (1 1 0), d = 3.350 Å, 26.6°, I = 32
- (0 0 2), d = 3.291 Å, 27.1°, I = 39
- (1 1 1), d = 2.986 Å, 29.9°, I = 31
- (2 0 0), d = 2.369 Å, 38.0°, I = 31
- (1 1 2), d = 2.348 Å, 38.3°, I = 24
- (2 1 1), d = 2.017 Å, 44.9°, I = 34
- (1 0 3), d = 1.991 Å, 45.6°, I = 16
- (2 0 2), d = 1.923 Å, 47.3°, I = 32
- (2 1 3), d = 1.524 Å, 60.8°, I = 14

Crystal structure
Lattice parameters (Å, degrees): 4.738 4.738 6.583 90.00 90.00 90.00
Space group P4/mmm (No. 123)
Unique sites:
Ba 0.000 0.000 0.000 (multiplicity 1)
Na 0.000 0.500 0.500 (multiplicity 2)
Ni 0.500 0.500 0.500 (multiplicity 1)
F 0.500 0.500 0.000 (multiplicity 1)